Calculated X-ray powder pattern of LaAlSeBr2 for Cu Kα, from a structure optimized by DFT (PBE).

Atomic structure:
Lattice parameters (Å, degrees): 5.875 5.875 5.757 90.00 90.00 90.00
Element x y z (fractional)
La (0.000, 0.000, 0.000)
Al (0.500, 0.500, 0.500)
Se (0.000, 0.000, 0.500)
Br (0.000, 0.500, 0.000)
Br (0.500, 0.000, 0.000)

Peak list (6 most intense, 2θ from 10° to 90°, sorted by position)
2θ 15.1, 5.875 Å, intensity 100.0, (1 0 0); 2θ 15.4, 5.757 Å, intensity 50.4, (0 0 1); 2θ 30.4, 2.937 Å, intensity 86.9, (2 0 0); 2θ 31.1, 2.878 Å, intensity 41.1, (0 0 2); 2θ 44.0, 2.056 Å, intensity 61.7, (2 0 2); 2θ 54.5, 1.684 Å, intensity 32.7, (2 2 2)